Calculated X-ray powder pattern of Al5GaFe6 for Cu Kα (weighted mean of Kα1 and Kα2), from a crystal structure in Alexandria, relaxed with PBE.
Kinematic intensities with the Lorentz-polarization factor, no thermal factor.

Most intense lines, 2θ from 5° to 70°, by angle:
2θ 14.51, d 6.104, rel. 2
2θ 15.42, d 5.748, rel. 2
2θ 21.23, d 4.185, rel. 2
2θ 23.03, d 3.861, rel. 2
2θ 27.84, d 3.205, rel. 2
2θ 31.09, d 2.876, rel. 10
2θ 34.87, d 2.573, rel. 1
2θ 44.55, d 2.034, rel. 100
2θ 55.32, d 1.661, rel. 2
2θ 64.83, d 1.438, rel. 15

Structural model:
Cell lengths 6.435, 6.435, 5.748 Å; angles 90.00, 90.00, 143.13 degrees
Fractional positions:
Al1 0.000 0.000 0.000
Al2 0.330 0.670 0.500
Al3 0.332 0.668 0.000
Al4 0.668 0.332 0.000
Al5 0.670 0.330 0.500
Ga1 0.000 0.000 0.500
Fe1 0.164 0.836 0.250
Fe2 0.164 0.836 0.750
Fe3 0.500 0.500 0.252
Fe4 0.500 0.500 0.748
Fe5 0.836 0.164 0.250
Fe6 0.836 0.164 0.750